Simulated X-ray diffraction stick pattern
Compound: Na5AgP2
Radiation: λ = 1.5418 Å (Cu Kα)
Structure: a PBE-relaxed structure

Structural model:
```
data_Na5AgP2
_cell_length_a 5.0340
_cell_length_b 5.0340
_cell_length_c 17.5146
_cell_angle_alpha 90.00
_cell_angle_beta 90.00
_cell_angle_gamma 120.00
_symmetry_space_group_name_H-M 'P 63/m m c'
_symmetry_Int_Tables_number 194
_symmetry_space_group_name_Hall '-P 6c 2c'
loop_
_atom_site_label
_atom_site_type_symbol
_atom_site_fract_x
_atom_site_fract_y
_atom_site_fract_z
Na1 Na 0.0000 0.0000 0.1331
Na2 Na 0.3333 0.6667 0.0513
Na3 Na 0.3333 0.6667 0.2500
Ag1 Ag 0.3333 0.6667 0.7500
P1 P 0.3333 0.6667 0.6131
```

The 10 most intense peaks (2θ from 5° to 70°), by intensity:
| 2θ (°) | Rel. int. |
| --- | --- |
| 35.7 | 100.0 |
| 21.0 | 87.9 |
| 10.1 | 63.5 |
| 41.6 | 37.1 |
| 28.9 | 35.3 |
| 20.4 | 30.7 |
| 47.7 | 26.4 |
| 25.5 | 22.9 |
| 37.1 | 22.6 |
| 55.6 | 21.3 |

***

Simulated X-ray diffraction stick pattern
Compound: NaAg2PSe4
Radiation: λ = 1.5418 Å (Cu Kα)
Structure: a PBE-relaxed structure

Structural model:
```
data_NaAg2PSe4
_cell_length_a 6.4787
_cell_length_b 6.4909
_cell_length_c 10.1935
_cell_angle_alpha 90.00
_cell_angle_beta 90.00
_cell_angle_gamma 90.00
_symmetry_space_group_name_H-M 'I 2 2 2'
_symmetry_Int_Tables_number 23
loop_
_symmetry_equiv_pos_as_xyz
'x,y,z'
'-x,-y,z'
'x,-y,-z'
'-x,y,-z'
'x+1/2,y+1/2,z+1/2'
'-x+1/2,-y+1/2,z+1/2'
'x+1/2,-y+1/2,-z+1/2'
'-x+1/2,y+1/2,-z+1/2'
loop_
_atom_site_label
_atom_site_type_symbol
_atom_site_fract_x
_atom_site_fract_y
_atom_site_fract_z
Na1 Na 0.0000 0.0000 0.0000
Ag1 Ag 0.0000 0.5000 0.2514
P1 P 0.0000 0.0000 0.5000
Se1 Se 0.2032 0.2023 0.3758
```

The 10 most intense peaks (2θ from 5° to 70°), by intensity:
| 2θ (°) | Rel. int. |
| --- | --- |
| 26.1 | 100.0 |
| 45.3 | 39.3 |
| 47.8 | 25.7 |
| 39.3 | 25.1 |
| 19.4 | 12.2 |
| 32.1 | 11.9 |
| 16.2 | 10.9 |
| 17.4 | 10.7 |
| 57.9 | 10.1 |
| 32.7 | 10.0 |

***

Simulated X-ray diffraction stick pattern
Compound: NaPaAgS4
Radiation: λ = 1.5418 Å (Cu Kα)
Structure: a PBE-relaxed structure

Structural model:
```
data_NaPaAgS4
_cell_length_a 8.2828
_cell_length_b 8.4270
_cell_length_c 9.8474
_cell_angle_alpha 90.00
_cell_angle_beta 90.00
_cell_angle_gamma 90.00
_symmetry_space_group_name_H-M 'I m m a'
_symmetry_Int_Tables_number 74
_symmetry_space_group_name_Hall '-I 2b 2'
loop_
_atom_site_label
_atom_site_type_symbol
_atom_site_fract_x
_atom_site_fract_y
_atom_site_fract_z
Na1 Na 0.2500 0.2500 0.2500
Pa1 Pa 0.0000 0.0000 0.0000
Ag1 Ag 0.0000 0.2500 0.7164
S1 S 0.0000 0.0353 0.2603
S2 S 0.2059 0.2500 0.9631
```

The 10 most intense peaks (2θ from 5° to 70°), by intensity:
| 2θ (°) | Rel. int. |
| --- | --- |
| 14.0 | 100.0 |
| 25.4 | 55.8 |
| 21.5 | 43.1 |
| 35.4 | 40.5 |
| 29.3 | 39.2 |
| 40.1 | 28.3 |
| 36.5 | 27.6 |
| 30.3 | 23.0 |
| 42.8 | 22.9 |
| 27.9 | 22.9 |

***

Simulated X-ray diffraction stick pattern
Compound: Na3Ag4Pb
Radiation: λ = 1.5418 Å (Cu Kα)
Structure: a PBE-relaxed structure

Structural model:
```
data_Na3Ag4Pb
_cell_length_a 6.2849
_cell_length_b 10.2438
_cell_length_c 6.1618
_cell_angle_alpha 90.00
_cell_angle_beta 90.00
_cell_angle_gamma 90.00
_symmetry_space_group_name_H-M 'I m m 2'
_symmetry_Int_Tables_number 44
loop_
_symmetry_equiv_pos_as_xyz
'x,y,z'
'-x,-y,z'
'-x,y,z'
'x,-y,z'
'x+1/2,y+1/2,z+1/2'
'-x+1/2,-y+1/2,z+1/2'
'-x+1/2,y+1/2,z+1/2'
'x+1/2,-y+1/2,z+1/2'
loop_
_atom_site_label
_atom_site_type_symbol
_atom_site_fract_x
_atom_site_fract_y
_atom_site_fract_z
Na1 Na 0.0000 0.0000 0.0000
Na2 Na 0.0000 0.2880 0.7862
Ag1 Ag 0.0000 0.2207 0.3129
Ag2 Ag 0.2184 0.0000 0.4966
Pb1 Pb 0.0000 0.5000 0.3605
```

The 10 most intense peaks (2θ from 5° to 70°), by intensity:
| 2θ (°) | Rel. int. |
| --- | --- |
| 20.2 | 100.0 |
| 41.7 | 53.9 |
| 33.2 | 50.6 |
| 35.0 | 35.1 |
| 41.0 | 34.0 |
| 34.0 | 29.3 |
| 40.8 | 27.3 |
| 29.9 | 21.8 |
| 29.0 | 21.1 |
| 55.0 | 20.8 |

***

Simulated X-ray diffraction stick pattern
Compound: Na6AgPb
Radiation: λ = 1.5418 Å (Cu Kα)
Structure: a PBE-relaxed structure

Structural model:
```
data_Na6AgPb
_cell_length_a 6.1261
_cell_length_b 6.1229
_cell_length_c 6.1262
_cell_angle_alpha 90.00
_cell_angle_beta 90.30
_cell_angle_gamma 90.00
_symmetry_space_group_name_H-M 'P 1 2/m 1'
_symmetry_Int_Tables_number 10
loop_
_symmetry_equiv_pos_as_xyz
'x,y,z'
'-x,-y,-z'
'-x,y,-z'
'x,-y,z'
loop_
_atom_site_label
_atom_site_type_symbol
_atom_site_fract_x
_atom_site_fract_y
_atom_site_fract_z
Na1 Na 0.0000 0.0000 0.2498
Na2 Na 0.2502 0.5000 0.4987
Na3 Na 0.5000 0.2496 0.0000
Ag1 Ag 0.0000 0.5000 0.0000
Pb1 Pb 0.5000 0.0000 0.5000
```

The 10 most intense peaks (2θ from 5° to 70°), by intensity:
| 2θ (°) | Rel. int. |
| --- | --- |
| 20.5 | 100.0 |
| 35.9 | 56.0 |
| 36.0 | 55.6 |
| 29.2 | 48.3 |
| 56.1 | 20.3 |
| 56.2 | 20.1 |
| 56.3 | 20.0 |
| 20.6 | 19.8 |
| 32.7 | 16.2 |
| 46.9 | 14.3 |

***

Simulated X-ray diffraction stick pattern
Compound: Na4AgPb
Radiation: λ = 1.5418 Å (Cu Kα)
Structure: a PBE-relaxed structure

Structural model:
```
data_Na4AgPb
_cell_length_a 5.4956
_cell_length_b 13.7988
_cell_length_c 9.1953
_cell_angle_alpha 90.00
_cell_angle_beta 90.00
_cell_angle_gamma 90.00
_symmetry_space_group_name_H-M 'C m c 21'
_symmetry_Int_Tables_number 36
loop_
_symmetry_equiv_pos_as_xyz
'x,y,z'
'-x,-y,z+1/2'
'-x,y,z'
'x,-y,z+1/2'
'x+1/2,y+1/2,z'
'-x+1/2,-y+1/2,z+1/2'
'-x+1/2,y+1/2,z'
'x+1/2,-y+1/2,z+1/2'
loop_
_atom_site_label
_atom_site_type_symbol
_atom_site_fract_x
_atom_site_fract_y
_atom_site_fract_z
Na1 Na 0.0000 0.0329 0.0000
Na2 Na 0.0000 0.1958 0.7119
Na3 Na 0.0000 0.2948 0.0339
Na4 Na 0.0000 0.4588 0.7361
Ag1 Ag 0.0000 0.1509 0.3091
Pb1 Pb 0.0000 0.3425 0.4214
```

The 10 most intense peaks (2θ from 5° to 70°), by intensity:
| 2θ (°) | Rel. int. |
| --- | --- |
| 19.9 | 100.0 |
| 32.0 | 78.8 |
| 37.8 | 46.0 |
| 19.3 | 28.7 |
| 32.6 | 28.1 |
| 16.1 | 24.8 |
| 34.1 | 22.8 |
| 12.8 | 18.3 |
| 46.3 | 17.8 |
| 47.2 | 16.9 |

***

Simulated X-ray diffraction stick pattern
Compound: Na3AgPb12
Radiation: λ = 1.5418 Å (Cu Kα)
Structure: a PBE-relaxed structure

Structural model:
```
data_Na3AgPb12
_cell_length_a 4.8434
_cell_length_b 4.8434
_cell_length_c 20.0387
_cell_angle_alpha 90.00
_cell_angle_beta 90.00
_cell_angle_gamma 90.00
_symmetry_space_group_name_H-M 'P 4/m m m'
_symmetry_Int_Tables_number 123
_symmetry_space_group_name_Hall '-P 4 2'
loop_
_atom_site_label
_atom_site_type_symbol
_atom_site_fract_x
_atom_site_fract_y
_atom_site_fract_z
Na1 Na 0.0000 0.0000 0.0000
Na2 Na 0.0000 0.0000 0.2512
Ag1 Ag 0.0000 0.0000 0.5000
Pb1 Pb 0.0000 0.5000 0.1263
Pb2 Pb 0.0000 0.5000 0.3804
Pb3 Pb 0.5000 0.5000 0.0000
Pb4 Pb 0.5000 0.5000 0.2531
Pb5 Pb 0.5000 0.5000 0.5000
```

The 10 most intense peaks (2θ from 5° to 70°), by intensity:
| 2θ (°) | Rel. int. |
| --- | --- |
| 31.6 | 100.0 |
| 37.1 | 33.1 |
| 63.5 | 28.1 |
| 52.6 | 24.1 |
| 35.9 | 17.7 |
| 61.8 | 14.4 |
| 66.1 | 12.3 |
| 53.5 | 11.8 |
| 18.3 | 10.4 |
| 25.6 | 9.6 |

***

Simulated X-ray diffraction stick pattern
Compound: NaAg6Pd
Radiation: λ = 1.5418 Å (Cu Kα)
Structure: a PBE-relaxed structure

Structural model:
```
data_NaAg6Pd
_cell_length_a 5.8430
_cell_length_b 8.3207
_cell_length_c 11.8452
_cell_angle_alpha 90.00
_cell_angle_beta 90.00
_cell_angle_gamma 90.00
_symmetry_space_group_name_H-M 'F m m m'
_symmetry_Int_Tables_number 69
_symmetry_space_group_name_Hall '-F 2 2'
loop_
_atom_site_label
_atom_site_type_symbol
_atom_site_fract_x
_atom_site_fract_y
_atom_site_fract_z
Na1 Na 0.0000 0.0000 0.0000
Ag1 Ag 0.0000 0.0000 0.2594
Ag2 Ag 0.2500 0.2500 0.1248
Pd1 Pd 0.0000 0.0000 0.5000
```

The 10 most intense peaks (2θ from 5° to 70°), by intensity:
| 2θ (°) | Rel. int. |
| --- | --- |
| 37.3 | 100.0 |
| 37.6 | 98.9 |
| 43.5 | 95.9 |
| 63.2 | 39.6 |
| 20.0 | 14.5 |
| 62.8 | 11.1 |
| 63.7 | 9.8 |
| 15.0 | 5.8 |
| 42.6 | 4.7 |
| 26.2 | 3.3 |

***

Simulated X-ray diffraction stick pattern
Compound: Na2AgPd2
Radiation: λ = 1.5418 Å (Cu Kα)
Structure: a PBE-relaxed structure

Structural model:
```
data_Na2AgPd2
_cell_length_a 8.0827
_cell_length_b 8.0827
_cell_length_c 2.8860
_cell_angle_alpha 90.00
_cell_angle_beta 90.00
_cell_angle_gamma 90.00
_symmetry_space_group_name_H-M 'P 4/m b m'
_symmetry_Int_Tables_number 127
_symmetry_space_group_name_Hall '-P 4 2ab'
loop_
_atom_site_label
_atom_site_type_symbol
_atom_site_fract_x
_atom_site_fract_y
_atom_site_fract_z
Na1 Na 0.1243 0.3757 0.0000
Ag1 Ag 0.0000 0.0000 0.0000
Pd1 Pd 0.1768 0.6768 0.5000
```

The 10 most intense peaks (2θ from 5° to 70°), by intensity:
| 2θ (°) | Rel. int. |
| --- | --- |
| 35.1 | 100.0 |
| 40.0 | 92.4 |
| 38.3 | 87.0 |
| 24.6 | 68.1 |
| 31.3 | 47.0 |
| 58.0 | 37.5 |
| 34.8 | 32.6 |
| 56.8 | 31.7 |
| 46.3 | 29.7 |
| 67.4 | 22.5 |

***

Simulated X-ray diffraction stick pattern
Compound: Na6AgPd
Radiation: λ = 1.5418 Å (Cu Kα)
Structure: a PBE-relaxed structure

Structural model:
```
data_Na6AgPd
_cell_length_a 3.7364
_cell_length_b 11.0699
_cell_length_c 10.9418
_cell_angle_alpha 90.00
_cell_angle_beta 90.00
_cell_angle_gamma 90.00
_symmetry_space_group_name_H-M 'A m m 2'
_symmetry_Int_Tables_number 38
loop_
_symmetry_equiv_pos_as_xyz
'x,y,z'
'-x,-y,z'
'-x,y,z'
'x,-y,z'
'x,y+1/2,z+1/2'
'-x,-y+1/2,z+1/2'
'-x,y+1/2,z+1/2'
'x,-y+1/2,z+1/2'
loop_
_atom_site_label
_atom_site_type_symbol
_atom_site_fract_x
_atom_site_fract_y
_atom_site_fract_z
Na1 Na 0.0000 0.0000 0.0000
Na2 Na 0.0000 0.2046 0.7896
Na3 Na 0.5000 0.0000 0.3167
Na4 Na 0.5000 0.2146 0.5453
Ag1 Ag 0.0000 0.0000 0.5716
Pd1 Pd 0.5000 0.0000 0.7600
```

The 10 most intense peaks (2θ from 5° to 70°), by intensity:
| 2θ (°) | Rel. int. |
| --- | --- |
| 11.4 | 100.0 |
| 33.2 | 57.8 |
| 16.0 | 26.3 |
| 42.4 | 17.2 |
| 35.3 | 15.8 |
| 32.3 | 14.3 |
| 32.7 | 11.2 |
| 43.9 | 9.1 |
| 28.9 | 8.5 |
| 42.1 | 8.1 |

***

Simulated X-ray diffraction stick pattern
Compound: Na2Ag9Pd
Radiation: λ = 1.5418 Å (Cu Kα)
Structure: a PBE-relaxed structure

Structural model:
```
data_Na2Ag9Pd
_cell_length_a 14.2223
_cell_length_b 4.5732
_cell_length_c 9.1697
_cell_angle_alpha 90.00
_cell_angle_beta 127.58
_cell_angle_gamma 90.00
_symmetry_space_group_name_H-M 'C 1 2/m 1'
_symmetry_Int_Tables_number 12
loop_
_symmetry_equiv_pos_as_xyz
'x,y,z'
'-x,-y,-z'
'-x,y,-z'
'x,-y,z'
'x+1/2,y+1/2,z'
'-x+1/2,-y+1/2,-z'
'-x+1/2,y+1/2,-z'
'x+1/2,-y+1/2,z'
loop_
_atom_site_label
_atom_site_type_symbol
_atom_site_fract_x
_atom_site_fract_y
_atom_site_fract_z
Na1 Na 0.1150 0.0000 0.3127
Ag1 Ag 0.0000 0.5000 0.0000
Ag2 Ag 0.0927 0.5000 0.7994
Ag3 Ag 0.1325 0.5000 0.5442
Ag4 Ag 0.1449 0.0000 0.0110
Ag5 Ag 0.2411 0.0000 0.7796
Pd1 Pd 0.0000 0.0000 0.5000
```

The 10 most intense peaks (2θ from 5° to 70°), by intensity:
| 2θ (°) | Rel. int. |
| --- | --- |
| 38.4 | 100.0 |
| 35.3 | 57.4 |
| 39.4 | 45.6 |
| 12.7 | 38.8 |
| 39.4 | 24.5 |
| 38.2 | 18.8 |
| 39.2 | 18.7 |
| 19.4 | 14.4 |
| 44.7 | 13.9 |
| 68.8 | 12.2 |

***

Simulated X-ray diffraction stick pattern
Compound: NaTlAgPd
Radiation: λ = 1.5418 Å (Cu Kα)
Structure: a PBE-relaxed structure

Structural model:
```
data_NaTlAgPd
_cell_length_a 4.4488
_cell_length_b 4.4488
_cell_length_c 7.9831
_cell_angle_alpha 90.00
_cell_angle_beta 90.00
_cell_angle_gamma 90.00
_symmetry_space_group_name_H-M 'I -4 m 2'
_symmetry_Int_Tables_number 119
_symmetry_space_group_name_Hall 'I -4 -2'
loop_
_atom_site_label
_atom_site_type_symbol
_atom_site_fract_x
_atom_site_fract_y
_atom_site_fract_z
Na1 Na 0.0000 0.0000 0.0000
Tl1 Tl 0.0000 0.5000 0.2500
Ag1 Ag 0.0000 0.5000 0.7500
Pd1 Pd 0.0000 0.0000 0.5000
```

The 10 most intense peaks (2θ from 5° to 70°), by intensity:
| 2θ (°) | Rel. int. |
| --- | --- |
| 36.4 | 100.0 |
| 40.6 | 36.8 |
| 22.9 | 23.7 |
| 62.5 | 20.1 |
| 28.4 | 15.4 |
| 22.3 | 13.8 |
| 45.4 | 13.3 |
| 58.7 | 12.2 |
| 46.8 | 8.1 |
| 47.1 | 7.4 |